Record 1
Computed X-ray diffraction stick pattern
Compound: Cs2Se4S3
Radiation: Cu Ka
Structure: a cell relaxed with PBE
No peak broadening, texture or thermal motion is included.

Largest 6 diffraction maxima, in order of falling intensity, 2θ from 15° to 90°:
d/Å, Rel. int.
3.944, 100
3.744, 72
3.230, 56
3.371, 47
2.059, 26
3.656, 19

Cell and atoms:
```
data_Cs2Se4S3
_space_group_name_H-M_alt 'P 1'
_space_group_IT_number 1
_cell_length_a 8.4951
_cell_length_b 8.4951
_cell_length_c 11.8528
_cell_angle_alpha 111.18
_cell_angle_beta 111.18
_cell_angle_gamma 77.94
loop_
_space_group_symop_operation_xyz
'x,y,z'
loop_
_atom_site_label
_atom_site_type_symbol
_atom_site_fract_x
_atom_site_fract_y
_atom_site_fract_z
Cs1 Cs 0.1941 0.7243 0.5214
Cs2 Cs 0.2757 0.8059 0.9786
Cs3 Cs 0.7243 0.1941 0.0214
Cs4 Cs 0.8059 0.2757 0.4786
Se1 Se 0.2316 0.2895 0.7699
Se2 Se 0.2895 0.2316 0.2699
Se3 Se 0.3138 0.3702 0.1332
Se4 Se 0.3702 0.3138 0.6332
Se5 Se 0.6298 0.6862 0.3668
Se6 Se 0.6862 0.6298 0.8668
Se7 Se 0.7105 0.7684 0.7301
Se8 Se 0.7684 0.7105 0.2301
S1 S 0.0515 0.3291 0.3125
S2 S 0.3291 0.0515 0.8125
S3 S 0.3571 0.6429 0.2500
S4 S 0.6429 0.3571 0.7500
S5 S 0.6709 0.9485 0.1875
S6 S 0.9485 0.6709 0.6875
```

=====

Record 2
Computed X-ray diffraction stick pattern
Compound: Zr2AlCo3
Radiation: Cu Ka
Structure: a cell relaxed with PBE
No peak broadening, texture or thermal motion is included.

Largest 6 diffraction maxima, in order of falling intensity, 2θ from 15° to 90°:
d/Å, Rel. int.
2.126, 100
2.220, 49
2.553, 20
1.401, 18
1.264, 17
2.211, 14

Cell and atoms:
```
data_Zr2AlCo3
_space_group_name_H-M_alt 'P 1'
_space_group_IT_number 1
_cell_length_a 5.1061
_cell_length_b 5.1061
_cell_length_c 7.6998
_cell_angle_alpha 90.00
_cell_angle_beta 90.00
_cell_angle_gamma 120.00
loop_
_space_group_symop_operation_xyz
'x,y,z'
loop_
_atom_site_label
_atom_site_type_symbol
_atom_site_fract_x
_atom_site_fract_y
_atom_site_fract_z
Zr1 Zr 0.3333 0.6667 0.0604
Zr2 Zr 0.3333 0.6667 0.4396
Zr3 Zr 0.6667 0.3333 0.5604
Zr4 Zr 0.6667 0.3333 0.9396
Al1 Al 0.0000 0.0000 0.0000
Al2 Al 0.0000 0.0000 0.5000
Co1 Co 0.1720 0.3441 0.7500
Co2 Co 0.1720 0.8280 0.7500
Co3 Co 0.3441 0.1720 0.2500
Co4 Co 0.6559 0.8280 0.7500
Co5 Co 0.8280 0.1720 0.2500
Co6 Co 0.8280 0.6559 0.2500
```

=====

Record 3
Computed X-ray diffraction stick pattern
Compound: Pm3HoC2
Radiation: Cu Ka
Structure: a cell relaxed with PBE
No peak broadening, texture or thermal motion is included.

Largest 6 diffraction maxima, in order of falling intensity, 2θ from 15° to 90°:
d/Å, Rel. int.
3.001, 100
2.643, 77
3.222, 33
1.823, 28
1.919, 23
1.586, 17

Cell and atoms:
```
data_Pm3HoC2
_space_group_name_H-M_alt 'P 1'
_space_group_IT_number 1
_cell_length_a 8.5253
_cell_length_b 8.5253
_cell_length_c 12.6319
_cell_angle_alpha 128.24
_cell_angle_beta 128.24
_cell_angle_gamma 24.68
loop_
_space_group_symop_operation_xyz
'x,y,z'
loop_
_atom_site_label
_atom_site_type_symbol
_atom_site_fract_x
_atom_site_fract_y
_atom_site_fract_z
Pm1 Pm 0.1395 0.1395 0.4491
Pm2 Pm 0.1422 0.1422 0.9528
Pm3 Pm 0.3562 0.3562 0.7972
Pm4 Pm 0.6438 0.6438 0.2028
Pm5 Pm 0.8578 0.8578 0.0472
Pm6 Pm 0.8605 0.8605 0.5509
Ho1 Ho 0.3556 0.3556 0.2970
Ho2 Ho 0.6444 0.6444 0.7030
C1 C 0.2441 0.2441 0.8682
C2 C 0.2536 0.2536 0.3763
C3 C 0.7464 0.7464 0.6237
C4 C 0.7559 0.7559 0.1318
```

=====

Record 4
Computed X-ray diffraction stick pattern
Compound: Li2Cd5Sn4
Radiation: Cu Ka
Structure: a cell relaxed with PBE
No peak broadening, texture or thermal motion is included.

Largest 6 diffraction maxima, in order of falling intensity, 2θ from 15° to 90°:
d/Å, Rel. int.
2.667, 100
2.335, 91
4.541, 75
3.535, 61
2.192, 52
3.140, 39

Cell and atoms:
```
data_Li2Cd5Sn4
_space_group_name_H-M_alt 'P 1'
_space_group_IT_number 1
_cell_length_a 10.2493
_cell_length_b 10.2493
_cell_length_c 10.2493
_cell_angle_alpha 153.63
_cell_angle_beta 142.47
_cell_angle_gamma 46.45
loop_
_space_group_symop_operation_xyz
'x,y,z'
loop_
_atom_site_label
_atom_site_type_symbol
_atom_site_fract_x
_atom_site_fract_y
_atom_site_fract_z
Li1 Li 0.0744 0.0744 0.0000
Li2 Li 0.9256 0.9256 0.0000
Cd1 Cd 0.0809 0.3436 0.7373
Cd2 Cd 0.3937 0.6564 0.7373
Cd3 Cd 0.5000 0.0000 0.5000
Cd4 Cd 0.6063 0.3436 0.2627
Cd5 Cd 0.9191 0.6564 0.2627
Sn1 Sn 0.2220 0.2220 0.0000
Sn2 Sn 0.2300 0.5000 0.7300
Sn3 Sn 0.7700 0.5000 0.2700
Sn4 Sn 0.7780 0.7780 0.0000
```

=====

Record 5
Computed X-ray diffraction stick pattern
Compound: TbZnTe2
Radiation: Cu Ka
Structure: a cell relaxed with PBE
No peak broadening, texture or thermal motion is included.

Largest 6 diffraction maxima, in order of falling intensity, 2θ from 15° to 90°:
d/Å, Rel. int.
2.905, 100
3.521, 64
2.487, 55
2.130, 36
1.444, 20
1.986, 19

Cell and atoms:
```
data_TbZnTe2
_space_group_name_H-M_alt 'P 1'
_space_group_IT_number 1
_cell_length_a 4.2598
_cell_length_b 4.2598
_cell_length_c 23.5683
_cell_angle_alpha 90.00
_cell_angle_beta 90.00
_cell_angle_gamma 120.00
loop_
_space_group_symop_operation_xyz
'x,y,z'
loop_
_atom_site_label
_atom_site_type_symbol
_atom_site_fract_x
_atom_site_fract_y
_atom_site_fract_z
Tb1 Tb 0.0000 0.3421 0.3333
Tb2 Tb 0.3421 0.0000 0.6667
Tb3 Tb 0.6579 0.6579 0.0000
Zn1 Zn 0.0000 0.8322 0.8333
Zn2 Zn 0.1678 0.1678 0.5000
Zn3 Zn 0.8322 0.0000 0.1667
Te1 Te 0.0141 0.3416 0.9200
Te2 Te 0.3275 0.9859 0.2534
Te3 Te 0.3416 0.0141 0.0800
Te4 Te 0.6584 0.6725 0.5867
Te5 Te 0.6725 0.6584 0.4133
Te6 Te 0.9859 0.3275 0.7466
```

=====

Record 6
Computed X-ray diffraction stick pattern
Compound: DyEr2Tm4
Radiation: Cu Ka
Structure: a cell relaxed with PBE
No peak broadening, texture or thermal motion is included.

Largest 6 diffraction maxima, in order of falling intensity, 2θ from 15° to 90°:
d/Å, Rel. int.
2.785, 100
2.807, 51
2.665, 47
2.679, 45
2.925, 38
1.476, 29

Cell and atoms:
```
data_DyEr2Tm4
_space_group_name_H-M_alt 'P 1'
_space_group_IT_number 1
_cell_length_a 16.4054
_cell_length_b 3.4802
_cell_length_c 8.5807
_cell_angle_alpha 90.00
_cell_angle_beta 119.71
_cell_angle_gamma 90.00
loop_
_space_group_symop_operation_xyz
'x,y,z'
loop_
_atom_site_label
_atom_site_type_symbol
_atom_site_fract_x
_atom_site_fract_y
_atom_site_fract_z
Dy1 Dy 0.0000 0.0000 0.0000
Dy2 Dy 0.5000 0.5000 0.0000
Er1 Er 0.0702 0.0000 0.4300
Er2 Er 0.4298 0.5000 0.5700
Er3 Er 0.5702 0.5000 0.4300
Er4 Er 0.9298 0.0000 0.5700
Tm1 Tm 0.1421 0.5000 0.8346
Tm2 Tm 0.2045 0.5000 0.2937
Tm3 Tm 0.2955 0.0000 0.7063
Tm4 Tm 0.3579 0.0000 0.1654
Tm5 Tm 0.6421 0.0000 0.8346
Tm6 Tm 0.7045 0.0000 0.2937
Tm7 Tm 0.7955 0.5000 0.7063
Tm8 Tm 0.8579 0.5000 0.1654
```

=====

Record 7
Computed X-ray diffraction stick pattern
Compound: Ag3IO6
Radiation: Cu Ka
Structure: a cell relaxed with PBE
No peak broadening, texture or thermal motion is included.

Largest 6 diffraction maxima, in order of falling intensity, 2θ from 15° to 90°:
d/Å, Rel. int.
2.982, 100
2.724, 96
2.011, 41
4.714, 36
1.782, 35
1.573, 31

Cell and atoms:
```
data_Ag3IO6
_space_group_name_H-M_alt 'P 1'
_space_group_IT_number 1
_cell_length_a 6.6703
_cell_length_b 6.6703
_cell_length_c 6.6703
_cell_angle_alpha 90.07
_cell_angle_beta 90.07
_cell_angle_gamma 90.07
loop_
_space_group_symop_operation_xyz
'x,y,z'
loop_
_atom_site_label
_atom_site_type_symbol
_atom_site_fract_x
_atom_site_fract_y
_atom_site_fract_z
Ag1 Ag 0.0716 0.7500 0.4284
Ag2 Ag 0.2500 0.5716 0.9284
Ag3 Ag 0.4284 0.0716 0.7500
Ag4 Ag 0.5716 0.9284 0.2500
Ag5 Ag 0.7500 0.4284 0.0716
Ag6 Ag 0.9284 0.2500 0.5716
I1 I 0.0000 0.0000 0.0000
I2 I 0.5000 0.5000 0.5000
O1 O 0.0225 0.2876 0.9687
O2 O 0.0313 0.9775 0.7124
O3 O 0.2124 0.4775 0.5313
O4 O 0.2876 0.9687 0.0225
O5 O 0.4687 0.7876 0.5225
O6 O 0.4775 0.5313 0.2124
O7 O 0.5225 0.4687 0.7876
O8 O 0.5313 0.2124 0.4775
O9 O 0.7124 0.0313 0.9775
O10 O 0.7876 0.5225 0.4687
O11 O 0.9687 0.0225 0.2876
O12 O 0.9775 0.7124 0.0313
```

=====

Record 8
Computed X-ray diffraction stick pattern
Compound: Ac2Pr5Y3
Radiation: Cu Ka
Structure: a cell relaxed with PBE
No peak broadening, texture or thermal motion is included.

Largest 6 diffraction maxima, in order of falling intensity, 2θ from 15° to 90°:
d/Å, Rel. int.
2.913, 100
3.173, 49
3.187, 48
2.765, 46
2.818, 29
1.573, 28

Cell and atoms:
```
data_Ac2Pr5Y3
_space_group_name_H-M_alt 'P 1'
_space_group_IT_number 1
_cell_length_a 9.2332
_cell_length_b 9.2332
_cell_length_c 10.6544
_cell_angle_alpha 107.93
_cell_angle_beta 107.93
_cell_angle_gamma 106.43
loop_
_space_group_symop_operation_xyz
'x,y,z'
loop_
_atom_site_label
_atom_site_type_symbol
_atom_site_fract_x
_atom_site_fract_y
_atom_site_fract_z
Ac1 Ac 0.0291 0.2766 0.0538
Ac2 Ac 0.2766 0.0291 0.5538
Ac3 Ac 0.7234 0.9709 0.4462
Ac4 Ac 0.9709 0.7234 0.9462
Pr1 Pr 0.1230 0.3717 0.7475
Pr2 Pr 0.2413 0.7587 0.7500
Pr3 Pr 0.2735 0.7265 0.2500
Pr4 Pr 0.3717 0.1230 0.2475
Pr5 Pr 0.4911 0.5089 0.2500
Pr6 Pr 0.5089 0.4911 0.7500
Pr7 Pr 0.6283 0.8770 0.7525
Pr8 Pr 0.7265 0.2735 0.7500
Pr9 Pr 0.7587 0.2413 0.2500
Pr10 Pr 0.8770 0.6283 0.2525
Y1 Y 0.0252 0.9748 0.7500
Y2 Y 0.2167 0.4674 0.4377
Y3 Y 0.4674 0.2167 0.9377
Y4 Y 0.5326 0.7833 0.0623
Y5 Y 0.7833 0.5326 0.5623
Y6 Y 0.9748 0.0252 0.2500
```

=====

Record 9
Computed X-ray diffraction stick pattern
Compound: TcPS
Radiation: Cu Ka
Structure: a cell relaxed with PBE
No peak broadening, texture or thermal motion is included.

Largest 6 diffraction maxima, in order of falling intensity, 2θ from 15° to 90°:
d/Å, Rel. int.
3.941, 100
2.602, 47
1.971, 46
2.043, 40
2.492, 39
2.781, 35

Cell and atoms:
```
data_TcPS
_space_group_name_H-M_alt 'P 1'
_space_group_IT_number 1
_cell_length_a 2.9754
_cell_length_b 5.5862
_cell_length_c 5.6277
_cell_angle_alpha 90.00
_cell_angle_beta 98.78
_cell_angle_gamma 90.00
loop_
_space_group_symop_operation_xyz
'x,y,z'
loop_
_atom_site_label
_atom_site_type_symbol
_atom_site_fract_x
_atom_site_fract_y
_atom_site_fract_z
Tc1 Tc 0.1940 0.0000 0.2354
Tc2 Tc 0.8060 0.5000 0.7646
P1 P 0.2913 0.2086 0.6116
P2 P 0.7087 0.7086 0.3884
S1 S 0.4041 0.4067 0.0890
S2 S 0.5959 0.9067 0.9110
```

=====

Record 10
Computed X-ray diffraction stick pattern
Compound: Er4Ga16Ni3
Radiation: Cu Ka
Structure: a cell relaxed with PBE
No peak broadening, texture or thermal motion is included.

Largest 6 diffraction maxima, in order of falling intensity, 2θ from 15° to 90°:
d/Å, Rel. int.
2.334, 100
2.149, 71
2.656, 50
1.533, 29
2.779, 27
1.274, 25

Cell and atoms:
```
data_Er4Ga16Ni3
_space_group_name_H-M_alt 'P 1'
_space_group_IT_number 1
_cell_length_a 6.0790
_cell_length_b 6.0790
_cell_length_c 10.9293
_cell_angle_alpha 90.00
_cell_angle_beta 90.00
_cell_angle_gamma 90.00
loop_
_space_group_symop_operation_xyz
'x,y,z'
loop_
_atom_site_label
_atom_site_type_symbol
_atom_site_fract_x
_atom_site_fract_y
_atom_site_fract_z
Er1 Er 0.0000 0.5000 0.1925
Er2 Er 0.0000 0.5000 0.8075
Er3 Er 0.5000 0.0000 0.1925
Er4 Er 0.5000 0.0000 0.8075
Ga1 Ga 0.0000 0.0000 0.1997
Ga2 Ga 0.0000 0.0000 0.8003
Ga3 Ga 0.2180 0.2180 0.0000
Ga4 Ga 0.2180 0.7820 0.0000
Ga5 Ga 0.2457 0.2457 0.3804
Ga6 Ga 0.2457 0.2457 0.6196
Ga7 Ga 0.2457 0.7543 0.3804
Ga8 Ga 0.2457 0.7543 0.6196
Ga9 Ga 0.5000 0.5000 0.2250
Ga10 Ga 0.5000 0.5000 0.7750
Ga11 Ga 0.7543 0.2457 0.3804
Ga12 Ga 0.7543 0.2457 0.6196
Ga13 Ga 0.7543 0.7543 0.3804
Ga14 Ga 0.7543 0.7543 0.6196
Ga15 Ga 0.7820 0.2180 0.0000
Ga16 Ga 0.7820 0.7820 0.0000
Ni1 Ni 0.0000 0.5000 0.5000
Ni2 Ni 0.5000 0.0000 0.5000
Ni3 Ni 0.5000 0.5000 0.0000
```

=====

Record 11
Computed X-ray diffraction stick pattern
Compound: PrTl3As2O6
Radiation: Cu Ka
Structure: a cell relaxed with PBE
No peak broadening, texture or thermal motion is included.

Largest 6 diffraction maxima, in order of falling intensity, 2θ from 15° to 90°:
d/Å, Rel. int.
3.072, 100
3.032, 98
2.158, 48
1.766, 40
4.316, 21
1.774, 21

Cell and atoms:
```
data_PrTl3As2O6
_space_group_name_H-M_alt 'P 1'
_space_group_IT_number 1
_cell_length_a 6.1436
_cell_length_b 6.1436
_cell_length_c 7.3800
_cell_angle_alpha 90.00
_cell_angle_beta 90.00
_cell_angle_gamma 120.00
loop_
_space_group_symop_operation_xyz
'x,y,z'
loop_
_atom_site_label
_atom_site_type_symbol
_atom_site_fract_x
_atom_site_fract_y
_atom_site_fract_z
Pr1 Pr 0.0000 0.0000 0.0000
Tl1 Tl 0.0000 0.0000 0.5000
Tl2 Tl 0.3333 0.6667 0.1729
Tl3 Tl 0.6667 0.3333 0.8271
As1 As 0.3333 0.6667 0.7002
As2 As 0.6667 0.3333 0.2998
O1 O 0.1833 0.3665 0.8126
O2 O 0.1833 0.8167 0.8126
O3 O 0.3665 0.1833 0.1874
O4 O 0.6335 0.8167 0.8126
O5 O 0.8167 0.1833 0.1874
O6 O 0.8167 0.6335 0.1874
```

=====

Record 12
Computed X-ray diffraction stick pattern
Compound: LiSc4Ga2
Radiation: Cu Ka
Structure: a cell relaxed with PBE
No peak broadening, texture or thermal motion is included.

Largest 6 diffraction maxima, in order of falling intensity, 2θ from 15° to 90°:
d/Å, Rel. int.
2.365, 100
2.324, 80
3.850, 63
1.657, 26
1.357, 26
2.002, 25

Cell and atoms:
```
data_LiSc4Ga2
_space_group_name_H-M_alt 'P 1'
_space_group_IT_number 1
_cell_length_a 8.0042
_cell_length_b 8.0042
_cell_length_c 8.0042
_cell_angle_alpha 34.37
_cell_angle_beta 34.37
_cell_angle_gamma 34.37
loop_
_space_group_symop_operation_xyz
'x,y,z'
loop_
_atom_site_label
_atom_site_type_symbol
_atom_site_fract_x
_atom_site_fract_y
_atom_site_fract_z
Li1 Li 0.0000 0.0000 0.0000
Sc1 Sc 0.1316 0.1316 0.1316
Sc2 Sc 0.3857 0.3857 0.3857
Sc3 Sc 0.6143 0.6143 0.6143
Sc4 Sc 0.8684 0.8684 0.8684
Ga1 Ga 0.2571 0.2571 0.2571
Ga2 Ga 0.7429 0.7429 0.7429
```